Record 1
Diffraction record for TmPu2O11. The powder diffractogram is simulated, not measured: it uses DFT lattice parameters and positions (PBE) and CuKα.
Lines closer than 0.1° are merged.

Most intense lines, 10° ≤ 2θ ≤ 90°, in order of rising 2θ:
2θ (°)  intensity  (hkl)
17.00  411  2 0 0
21.88  390  2 1 1
24.90  1000  2 0 2
26.84  697  2 2 0
27.53  716  0 2 2
44.61  408  4 2 2

Atomic structure:
```
data_TmPu2O11
_cell_length_a 10.429
_cell_length_b 8.619
_cell_length_c 9.823
_cell_angle_alpha 90.00
_cell_angle_beta 90.00
_cell_angle_gamma 90.00
_symmetry_space_group_name_H-M 'I m a 2'
_symmetry_Int_Tables_number 46
loop_
_symmetry_equiv_pos_as_xyz
'x,y,z'
'-x,-y,z'
'-x+1/2,y,z'
'x+1/2,-y,z'
'x+1/2,y+1/2,z+1/2'
'-x+1/2,-y+1/2,z+1/2'
'-x,y+1/2,z+1/2'
'x,-y+1/2,z+1/2'
loop_
_atom_site_label
_atom_site_type_symbol
_atom_site_fract_x
_atom_site_fract_y
_atom_site_fract_z
Tm1 Tm 0.000 0.000 0.000
Pu1 Pu 0.250 0.201 0.279
Pu2 Pu 0.250 0.736 0.239
O1 O 0.123 0.125 0.162
O2 O 0.124 0.680 0.624
O3 O 0.125 0.205 0.888
O4 O 0.125 0.628 0.342
O5 O 0.250 0.109 0.589
O6 O 0.250 0.535 0.065
O7 O 0.250 0.546 0.847
```

Record 2
Diffraction record for Y2TmPuO8. The powder diffractogram is simulated, not measured: it uses DFT lattice parameters and positions (PBE) and CuKα.
Lines closer than 0.1° are merged.

Most intense lines, 10° ≤ 2θ ≤ 90°, in order of rising 2θ:
2θ (°)  intensity  (hkl)
17.44  356  1 1 0
24.47  598  0 2 0
25.04  539  2 0 0
31.26  1000  1 1 2
47.53  420  1 3 2
48.17  378  3 1 2

Atomic structure:
```
data_Y2TmPuO8
_cell_length_a 7.113
_cell_length_b 7.275
_cell_length_c 6.924
_cell_angle_alpha 90.00
_cell_angle_beta 90.00
_cell_angle_gamma 90.00
_symmetry_space_group_name_H-M 'C m m m'
_symmetry_Int_Tables_number 65
_symmetry_space_group_name_Hall '-C 2 2'
loop_
_atom_site_label
_atom_site_type_symbol
_atom_site_fract_x
_atom_site_fract_y
_atom_site_fract_z
Y1 Y 0.000 0.000 0.240
Tm1 Tm 0.000 0.500 0.000
Pu1 Pu 0.000 0.500 0.500
O1 O 0.000 0.318 0.275
O2 O 0.196 0.000 0.000
O3 O 0.219 0.000 0.500
```

Record 3
Diffraction record for TmPuZnO6. The powder diffractogram is simulated, not measured: it uses DFT lattice parameters and positions (PBE) and CuKα.
Lines closer than 0.1° are merged.

Most intense lines, 10° ≤ 2θ ≤ 90°, in order of rising 2θ:
2θ (°)  intensity  (hkl)
18.40  347  1 0 0
19.76  520  0 0 1
27.13  1000  1 0 1
32.15  746  1 1 0
38.02  604  2 -1 1
52.33  567  2 -1 2

Atomic structure:
```
data_TmPuZnO6
_cell_length_a 5.5682
_cell_length_b 5.5682
_cell_length_c 4.4930
_cell_angle_alpha 90.00
_cell_angle_beta 90.00
_cell_angle_gamma 120.00
_symmetry_space_group_name_H-M 'P 3 1 2'
_symmetry_Int_Tables_number 149
loop_
_symmetry_equiv_pos_as_xyz
'x,y,z'
'-y,x-y,z'
'-x+y,-x,z'
'-y,-x,-z'
'-x+y,y,-z'
'x,x-y,-z'
loop_
_atom_site_label
_atom_site_type_symbol
_atom_site_fract_x
_atom_site_fract_y
_atom_site_fract_z
Tm1 Tm 0.0000 0.0000 0.0000
Pu1 Pu 0.3333 0.6667 0.0000
Zn1 Zn 0.6667 0.3333 0.5000
O1 O 0.0218 0.3598 0.2375
```

Record 4
Diffraction record for Pu2UO8. The powder diffractogram is simulated, not measured: it uses DFT lattice parameters and positions (PBE) and CuKα.
Lines closer than 0.1° are merged.

Most intense lines, 10° ≤ 2θ ≤ 90°, in order of rising 2θ:
2θ (°)  intensity  (hkl)
14.26  228  2 0 0
28.69  1000  4 0 0
29.97  296  2 0 -2
33.81  291  3 1 -1
47.34  234  5 1 1
48.96  218  1 1 -3

Atomic structure:
```
data_Pu2UO8
_cell_length_a 12.521
_cell_length_b 3.817
_cell_length_c 6.400
_cell_angle_alpha 90.00
_cell_angle_beta 97.14
_cell_angle_gamma 90.00
_symmetry_space_group_name_H-M 'C 1 2/m 1'
_symmetry_Int_Tables_number 12
loop_
_symmetry_equiv_pos_as_xyz
'x,y,z'
'-x,-y,-z'
'-x,y,-z'
'x,-y,z'
'x+1/2,y+1/2,z'
'-x+1/2,-y+1/2,-z'
'-x+1/2,y+1/2,-z'
'x+1/2,-y+1/2,z'
loop_
_atom_site_label
_atom_site_type_symbol
_atom_site_fract_x
_atom_site_fract_y
_atom_site_fract_z
Pu1 Pu 0.249 0.000 0.245
U1 U 0.000 0.000 0.500
O1 O 0.066 0.000 0.243
O2 O 0.078 0.500 0.647
O3 O 0.199 0.000 0.574
O4 O 0.200 0.500 0.066
```

Record 5
Diffraction record for PuU2O7. The powder diffractogram is simulated, not measured: it uses DFT lattice parameters and positions (PBE) and CuKα.
Lines closer than 0.1° are merged.

Most intense lines, 10° ≤ 2θ ≤ 90°, in order of rising 2θ:
2θ (°)  intensity  (hkl)
25.75  496  0 0 9
27.51  1000  0 1 2
30.55  565  0 1 5
33.72  656  1 0 7
47.51  510  1 1 0
49.34  405  0 1 14

Atomic structure:
```
data_PuU2O7
_cell_length_a 3.8277
_cell_length_b 3.8277
_cell_length_c 31.1352
_cell_angle_alpha 90.00
_cell_angle_beta 90.00
_cell_angle_gamma 120.00
_symmetry_space_group_name_H-M 'R -3 m'
_symmetry_Int_Tables_number 166
_symmetry_space_group_name_Hall '-R 3 2"'
loop_
_atom_site_label
_atom_site_type_symbol
_atom_site_fract_x
_atom_site_fract_y
_atom_site_fract_z
Pu1 Pu 0.0000 0.0000 0.0000
U1 U 0.0000 0.0000 0.4332
O1 O 0.0000 0.0000 0.0762
O2 O 0.0000 0.0000 0.2195
O3 O 0.0000 0.0000 0.3611
O4 O 0.0000 0.0000 0.5000
```

Record 6
Diffraction record for Pu2UO11. The powder diffractogram is simulated, not measured: it uses DFT lattice parameters and positions (PBE) and CuKα.
Lines closer than 0.1° are merged.

Most intense lines, 10° ≤ 2θ ≤ 90°, in order of rising 2θ:
2θ (°)  intensity  (hkl)
21.83  572  0 1 -2
22.04  1000  1 -2 1
22.25  424  -2 1 1
23.85  392  1 1 0
27.06  497  0 2 0
31.99  258  2 1 -1

Atomic structure:
```
data_Pu2UO11
_cell_length_a 8.371
_cell_length_b 8.374
_cell_length_c 8.451
_cell_angle_alpha 106.59
_cell_angle_beta 104.62
_cell_angle_gamma 117.18
_symmetry_space_group_name_H-M 'P 1'
_symmetry_Int_Tables_number 1
loop_
_symmetry_equiv_pos_as_xyz
'x,y,z'
loop_
_atom_site_label
_atom_site_type_symbol
_atom_site_fract_x
_atom_site_fract_y
_atom_site_fract_z
Pu1 Pu 0.000 0.000 0.000
Pu2 Pu 0.081 0.581 0.500
Pu3 Pu 0.380 0.604 0.213
Pu4 Pu 0.690 0.415 0.713
U1 U 0.030 0.052 0.520
U2 U 0.549 0.071 0.020
O1 O 0.045 0.044 0.262
O2 O 0.072 0.782 0.443
O3 O 0.089 0.376 0.543
O4 O 0.104 0.284 0.091
O5 O 0.201 0.659 0.135
O6 O 0.249 0.035 0.043
O7 O 0.298 0.798 0.761
O8 O 0.300 0.211 0.660
O9 O 0.331 0.646 0.435
O10 O 0.421 0.556 0.007
O11 O 0.513 0.500 0.288
O12 O 0.530 0.942 0.160
O13 O 0.532 0.168 0.506
O14 O 0.557 0.517 0.636
O15 O 0.580 0.225 0.898
O16 O 0.742 0.952 0.943
O17 O 0.754 0.900 0.399
O18 O 0.834 0.348 0.260
O19 O 0.869 0.356 0.788
O20 O 0.871 0.686 0.936
O21 O 0.887 0.568 0.591
O22 O 0.993 0.008 0.760
```